For AcNi2F11, a structure optimized by DFT (GGA+U) gives the computed powder X-ray diffraction pattern in this record (a wavelength of 1.5418 Å).
Lines closer than 0.1° are merged.

Structural model:
a = 10.611 Å, b = 8.867 Å, c = 8.812 Å
α = 90.00°, β = 90.00°, γ = 90.00°
Space group Ima2 (No. 46)
One atom of each set of equivalent atoms:
Ac 0.000 0.000 0.000
Ni 0.250 0.146 0.350
Ni 0.250 0.658 0.154
F 0.124 0.049 0.231
F 0.124 0.233 0.947
F 0.129 0.558 0.259
F 0.129 0.739 0.556
F 0.250 0.206 0.699
F 0.250 0.512 0.002
F 0.250 0.704 0.795

Top 8 peaks for 2θ = 10–90°, in order of rising 2θ:
Position (°2θ)  I (rel.)
14.17  43
21.98  100
24.02  25
26.24  61
31.94  17
32.10  17
44.82  29
46.85  24